Entry 1:
This entry pairs a crystal structure of ZnIn14Pb with its computed X-ray diffraction stick pattern. Radiation: Cu Kα. Structure: DFT lattice parameters and positions (PBE).

The 12 most intense peaks (2θ = 5–70°), low angle first:
2θ 16.25, I = 24; 2θ 24.44, I = 21; 2θ 28.00, I = 15; 2θ 29.95, I = 12; 2θ 32.84, I = 1000; 2θ 35.63, I = 398; 2θ 42.68, I = 125; 2θ 50.98, I = 15; 2θ 51.28, I = 136; 2θ 56.77, I = 202; 2θ 62.24, I = 295; 2θ 68.86, I = 109

Structural model:
Cell: 7.1266 7.1266 8.4744 Å, 90.00 90.00 90.00°
Fractional coordinates of all 16 atoms:
Zn 0.0000 0.0000 0.0000
In 0.0000 0.0000 0.5000
In 0.0000 0.5000 0.0000
In 0.0000 0.5000 0.5000
In 0.2401 0.2401 0.2458
In 0.2401 0.2401 0.7542
In 0.2401 0.7599 0.2458
In 0.2401 0.7599 0.7542
In 0.5000 0.0000 0.0000
In 0.5000 0.0000 0.5000
In 0.5000 0.5000 0.5000
In 0.7599 0.2401 0.2458
In 0.7599 0.2401 0.7542
In 0.7599 0.7599 0.2458
In 0.7599 0.7599 0.7542
Pb 0.5000 0.5000 0.0000

Entry 2:
This entry pairs a crystal structure of Zr6InPb with its computed X-ray diffraction stick pattern. Radiation: Cu Kα. Structure: DFT lattice parameters and positions (PBE).

The 12 most intense peaks (2θ = 5–70°), low angle first:
2θ 16.16, I = 60; 2θ 23.48, I = 81; 2θ 28.19, I = 31; 2θ 32.66, I = 241; 2θ 34.22, I = 275; 2θ 37.00, I = 1000; 2θ 47.15, I = 28; 2θ 48.02, I = 162; 2θ 58.29, I = 173; 2θ 63.10, I = 205; 2θ 68.43, I = 28; 2θ 69.35, I = 204

Structural model:
Cell: 6.3321 6.3321 5.2414 Å, 90.00 90.00 120.00°
Fractional coordinates of all 8 atoms:
Zr 0.0004 0.5002 0.0000
Zr 0.1665 0.3330 0.5000
Zr 0.1665 0.8335 0.5000
Zr 0.4998 0.9996 0.0000
Zr 0.4998 0.5002 0.0000
Zr 0.6670 0.8335 0.5000
In 0.0000 0.0000 0.0000
Pb 0.6667 0.3333 0.5000

Entry 3:
This entry pairs a crystal structure of Zr3InPb with its computed X-ray diffraction stick pattern. Radiation: Cu Kα. Structure: DFT lattice parameters and positions (PBE).

The 12 most intense peaks (2θ = 5–70°), low angle first:
2θ 28.73, I = 109; 2θ 34.75, I = 1000; 2θ 35.18, I = 923; 2θ 35.80, I = 476; 2θ 35.99, I = 405; 2θ 48.86, I = 172; 2θ 51.67, I = 270; 2θ 61.47, I = 89; 2θ 62.16, I = 137; 2θ 63.38, I = 161; 2θ 63.91, I = 114; 2θ 64.19, I = 236

Structural model:
Cell: 7.9342 7.9342 8.9181 Å, 114.17 114.17 77.95°
Fractional coordinates of all 20 atoms:
Zr 0.0457 0.7742 0.8345
Zr 0.1703 0.4386 0.9611
Zr 0.2258 0.9543 0.6655
Zr 0.2599 0.5241 0.3667
Zr 0.4386 0.1703 0.4611
Zr 0.4759 0.7401 0.1333
Zr 0.5241 0.2599 0.8667
Zr 0.5614 0.8297 0.5389
Zr 0.7401 0.4759 0.6333
Zr 0.7742 0.0457 0.3345
Zr 0.8297 0.5614 0.0389
Zr 0.9543 0.2258 0.1655
In 0.1464 0.8536 0.2500
In 0.4053 0.5947 0.7500
In 0.5947 0.4053 0.2500
In 0.8536 0.1464 0.7500
Pb 0.1040 0.3136 0.5702
Pb 0.3136 0.1040 0.0702
Pb 0.6864 0.8960 0.9298
Pb 0.8960 0.6864 0.4298

Entry 4:
This entry pairs a crystal structure of In5Pd6 with its computed X-ray diffraction stick pattern. Radiation: Cu Kα. Structure: DFT lattice parameters and positions (PBE).

The 12 most intense peaks (2θ = 5–70°), low angle first:
2θ 13.08, I = 24; 2θ 14.61, I = 53; 2θ 20.75, I = 30; 2θ 23.69, I = 32; 2θ 27.15, I = 34; 2θ 35.72, I = 28; 2θ 38.76, I = 1000; 2θ 39.96, I = 455; 2θ 46.94, I = 28; 2θ 54.11, I = 92; 2θ 57.79, I = 146; 2θ 69.35, I = 167

Structural model:
Cell: 7.8977 7.8977 7.8977 Å, 146.80 129.16 62.08°
Fractional coordinates of all 11 atoms:
In 0.0000 0.0000 0.0000
In 0.1706 0.6706 0.5000
In 0.3468 0.3468 0.0000
In 0.6532 0.6532 0.0000
In 0.8294 0.3294 0.5000
Pd 0.0783 0.8315 0.2468
Pd 0.2361 0.5000 0.7361
Pd 0.4154 0.1685 0.2468
Pd 0.5846 0.8315 0.7532
Pd 0.7639 0.5000 0.2639
Pd 0.9217 0.1685 0.7532

Entry 5:
This entry pairs a crystal structure of InPd7 with its computed X-ray diffraction stick pattern. Radiation: Cu Kα. Structure: DFT lattice parameters and positions (PBE).

The 5 most intense peaks (2θ = 5–70°), low angle first:
2θ 39.08, I = 1000; 2θ 45.31, I = 163; 2θ 45.51, I = 322; 2θ 66.17, I = 204; 2θ 66.32, I = 102

Structural model:
Cell: 3.9865 3.9865 16.0112 Å, 90.00 90.00 90.00°
Fractional coordinates of all 16 atoms:
In 0.0000 0.0000 0.0000
In 0.5000 0.5000 0.5000
Pd 0.0000 0.0000 0.2505
Pd 0.0000 0.0000 0.5000
Pd 0.0000 0.0000 0.7495
Pd 0.0000 0.5000 0.1264
Pd 0.0000 0.5000 0.3736
Pd 0.0000 0.5000 0.6264
Pd 0.0000 0.5000 0.8736
Pd 0.5000 0.0000 0.1264
Pd 0.5000 0.0000 0.3736
Pd 0.5000 0.0000 0.6264
Pd 0.5000 0.0000 0.8736
Pd 0.5000 0.5000 0.0000
Pd 0.5000 0.5000 0.2495
Pd 0.5000 0.5000 0.7505

Entry 6:
This entry pairs a crystal structure of In2Pd3 with its computed X-ray diffraction stick pattern. Radiation: Cu Kα. Structure: DFT lattice parameters and positions (PBE).

The 12 most intense peaks (2θ = 5–70°), low angle first:
2θ 26.74, I = 238; 2θ 31.44, I = 332; 2θ 32.85, I = 238; 2θ 34.25, I = 400; 2θ 37.82, I = 500; 2θ 39.61, I = 1000; 2θ 40.53, I = 353; 2θ 41.45, I = 343; 2θ 42.81, I = 268; 2θ 43.97, I = 558; 2θ 47.45, I = 374; 2θ 48.16, I = 355

Structural model:
Cell: 6.9124 6.9124 6.9124 Å, 122.32 75.66 135.48°
Fractional coordinates of all 10 atoms:
In 0.1661 0.2444 0.4105
In 0.3339 0.7444 0.0783
In 0.6661 0.2556 0.9217
In 0.8339 0.7556 0.5895
Pd 0.0914 0.8503 0.9417
Pd 0.2500 0.7500 0.5000
Pd 0.4086 0.3503 0.7589
Pd 0.5914 0.6497 0.2411
Pd 0.7500 0.2500 0.5000
Pd 0.9086 0.1497 0.0583

Entry 7:
This entry pairs a crystal structure of In5Pd7 with its computed X-ray diffraction stick pattern. Radiation: Cu Kα. Structure: DFT lattice parameters and positions (PBE).

The 12 most intense peaks (2θ = 5–70°), low angle first:
2θ 32.84, I = 143; 2θ 34.17, I = 160; 2θ 35.06, I = 289; 2θ 35.20, I = 364; 2θ 38.66, I = 1000; 2θ 40.00, I = 125; 2θ 40.29, I = 949; 2θ 41.30, I = 295; 2θ 52.54, I = 92; 2θ 53.17, I = 171; 2θ 56.85, I = 87; 2θ 69.79, I = 85

Structural model:
Cell: 4.4824 4.4824 12.5183 Å, 98.73 98.73 62.61°
Fractional coordinates of all 12 atoms:
In 0.0000 0.0000 0.0000
In 0.1387 0.1387 0.4275
In 0.3841 0.3841 0.2082
In 0.6159 0.6159 0.7918
In 0.8613 0.8613 0.5725
Pd 0.0428 0.0428 0.2133
Pd 0.2495 0.2495 0.6651
Pd 0.3215 0.3215 0.9157
Pd 0.5000 0.5000 0.5000
Pd 0.6785 0.6785 0.0843
Pd 0.7505 0.7505 0.3349
Pd 0.9572 0.9572 0.7867

Entry 8:
This entry pairs a crystal structure of In3Pd5 with its computed X-ray diffraction stick pattern. Radiation: Cu Kα. Structure: DFT lattice parameters and positions (PBE).

The 12 most intense peaks (2θ = 5–70°), low angle first:
2θ 37.85, I = 707; 2θ 38.24, I = 1000; 2θ 38.71, I = 365; 2θ 39.44, I = 144; 2θ 42.66, I = 399; 2θ 44.98, I = 398; 2θ 51.40, I = 76; 2θ 59.48, I = 84; 2θ 63.71, I = 279; 2θ 65.55, I = 75; 2θ 66.02, I = 73; 2θ 68.94, I = 62

Structural model:
Cell: 5.7419 11.3212 4.2393 Å, 90.00 90.00 90.00°
Fractional coordinates of all 16 atoms:
In 0.0000 0.0000 0.0000
In 0.1813 0.3577 0.5000
In 0.3187 0.8577 0.5000
In 0.5000 0.5000 0.0000
In 0.6813 0.1423 0.5000
In 0.8187 0.6423 0.5000
Pd 0.0000 0.5000 0.0000
Pd 0.0635 0.7557 0.0000
Pd 0.2026 0.1104 0.5000
Pd 0.2974 0.6104 0.5000
Pd 0.4365 0.2557 0.0000
Pd 0.5000 0.0000 0.0000
Pd 0.5635 0.7443 0.0000
Pd 0.7026 0.3896 0.5000
Pd 0.7974 0.8896 0.5000
Pd 0.9365 0.2443 0.0000

Entry 9:
This entry pairs a crystal structure of In3Pd with its computed X-ray diffraction stick pattern. Radiation: Cu Kα. Structure: DFT lattice parameters and positions (PBE).

The 12 most intense peaks (2θ = 5–70°), low angle first:
2θ 20.81, I = 98; 2θ 27.07, I = 195; 2θ 28.36, I = 342; 2θ 34.87, I = 169; 2θ 37.22, I = 1000; 2θ 39.61, I = 118; 2θ 39.96, I = 282; 2θ 41.11, I = 188; 2θ 44.43, I = 200; 2θ 44.69, I = 97; 2θ 58.67, I = 128; 2θ 67.33, I = 236

Structural model:
Cell: 3.1750 4.5126 13.1747 Å, 90.00 90.00 90.00°
Fractional coordinates of all 8 atoms:
In 0.0000 0.0000 0.0000
In 0.0000 0.5000 0.1875
In 0.0000 0.5000 0.8125
In 0.5000 0.0000 0.3125
In 0.5000 0.0000 0.6875
In 0.5000 0.5000 0.5000
Pd 0.0000 0.0000 0.5000
Pd 0.5000 0.5000 0.0000

Entry 10:
This entry pairs a crystal structure of In4Pd with its computed X-ray diffraction stick pattern. Radiation: Cu Kα. Structure: DFT lattice parameters and positions (PBE).

The 12 most intense peaks (2θ = 5–70°), low angle first:
2θ 20.66, I = 320; 2θ 29.08, I = 132; 2θ 29.69, I = 146; 2θ 33.61, I = 1000; 2θ 33.95, I = 658; 2θ 39.72, I = 275; 2θ 40.42, I = 244; 2θ 41.20, I = 254; 2θ 42.04, I = 244; 2θ 54.53, I = 187; 2θ 55.66, I = 172; 2θ 68.50, I = 119

Structural model:
Cell: 8.5989 7.0200 6.9115 Å, 76.22 52.46 51.32°
Fractional coordinates of all 10 atoms:
In 0.1665 0.2735 0.2784
In 0.2184 0.7216 0.7265
In 0.2735 0.1665 0.7816
In 0.2784 0.7816 0.1665
In 0.7216 0.2184 0.8335
In 0.7265 0.8335 0.2184
In 0.7816 0.2784 0.2735
In 0.8335 0.7265 0.7216
Pd 0.3750 0.3750 0.3750
Pd 0.6250 0.6250 0.6250

Entry 11:
This entry pairs a crystal structure of Pm3InPd3 with its computed X-ray diffraction stick pattern. Radiation: Cu Kα. Structure: DFT lattice parameters and positions (PBE).

The 12 most intense peaks (2θ = 5–70°), low angle first:
2θ 11.48, I = 114; 2θ 19.94, I = 423; 2θ 27.85, I = 118; 2θ 30.68, I = 275; 2θ 31.07, I = 593; 2θ 34.91, I = 1000; 2θ 37.20, I = 171; 2θ 42.26, I = 103; 2θ 44.23, I = 200; 2θ 47.42, I = 837; 2θ 53.36, I = 123; 2θ 62.60, I = 101

Structural model:
Cell: 8.9038 8.9038 5.7570 Å, 90.00 90.00 120.00°
Fractional coordinates of all 14 atoms:
Pm 0.0429 0.6856 0.2500
Pm 0.3144 0.3574 0.2500
Pm 0.3574 0.0429 0.7500
Pm 0.6426 0.9571 0.2500
Pm 0.6856 0.6426 0.7500
Pm 0.9571 0.3144 0.7500
In 0.3333 0.6667 0.7500
In 0.6667 0.3333 0.2500
Pd 0.0373 0.6849 0.7500
Pd 0.3151 0.3525 0.7500
Pd 0.3525 0.0373 0.2500
Pd 0.6475 0.9627 0.7500
Pd 0.6849 0.6475 0.2500
Pd 0.9627 0.3151 0.2500

Entry 12:
This entry pairs a crystal structure of Pm2InPd5 with its computed X-ray diffraction stick pattern. Radiation: Cu Kα. Structure: DFT lattice parameters and positions (PBE).

The 12 most intense peaks (2θ = 5–70°), low angle first:
2θ 30.55, I = 114; 2θ 33.19, I = 110; 2θ 36.48, I = 1000; 2θ 38.04, I = 103; 2θ 39.49, I = 469; 2θ 43.72, I = 98; 2θ 47.69, I = 125; 2θ 51.98, I = 45; 2θ 57.09, I = 135; 2θ 63.58, I = 211; 2θ 67.19, I = 61; 2θ 69.67, I = 237

Structural model:
Cell: 6.4538 6.4538 7.6266 Å, 90.00 90.00 90.00°
Fractional coordinates of all 16 atoms:
Pm 0.0000 0.5000 0.0000
Pm 0.0000 0.5000 0.5000
Pm 0.5000 0.0000 0.0000
Pm 0.5000 0.0000 0.5000
In 0.0000 0.0000 0.3809
In 0.5000 0.5000 0.8809
Pd 0.0000 0.0000 0.0116
Pd 0.2183 0.2183 0.7393
Pd 0.2183 0.7817 0.7393
Pd 0.2817 0.2817 0.2393
Pd 0.2817 0.7183 0.2393
Pd 0.5000 0.5000 0.5116
Pd 0.7183 0.2817 0.2393
Pd 0.7183 0.7183 0.2393
Pd 0.7817 0.2183 0.7393
Pd 0.7817 0.7817 0.7393

Entry 13:
This entry pairs a crystal structure of Pm11In9Pd4 with its computed X-ray diffraction stick pattern. Radiation: Cu Kα. Structure: DFT lattice parameters and positions (PBE).

The 12 most intense peaks (2θ = 5–70°), low angle first:
2θ 30.86, I = 106; 2θ 31.97, I = 146; 2θ 33.66, I = 1000; 2θ 33.96, I = 402; 2θ 35.84, I = 155; 2θ 36.57, I = 104; 2θ 37.03, I = 107; 2θ 47.89, I = 157; 2θ 48.78, I = 87; 2θ 60.00, I = 152; 2θ 60.58, I = 76; 2θ 62.00, I = 96

Structural model:
Cell: 13.4654 13.4654 3.7989 Å, 90.00 90.00 112.71°
Fractional coordinates of all 24 atoms:
Pm 0.0000 0.0000 0.0000
Pm 0.0710 0.4136 0.0000
Pm 0.1619 0.8381 0.0000
Pm 0.3083 0.3083 0.0000
Pm 0.3722 0.6278 0.0000
Pm 0.4136 0.0710 0.0000
Pm 0.5864 0.9290 0.0000
Pm 0.6278 0.3722 0.0000
Pm 0.6917 0.6917 0.0000
Pm 0.8381 0.1619 0.0000
Pm 0.9290 0.5864 0.0000
In 0.0749 0.2169 0.5000
In 0.1600 0.6323 0.5000
In 0.2169 0.0749 0.5000
In 0.3677 0.8400 0.5000
In 0.5000 0.5000 0.5000
In 0.6323 0.1600 0.5000
In 0.7831 0.9251 0.5000
In 0.8400 0.3677 0.5000
In 0.9251 0.7831 0.5000
Pd 0.2462 0.4482 0.5000
Pd 0.4482 0.2462 0.5000
Pd 0.5518 0.7538 0.5000
Pd 0.7538 0.5518 0.5000